NaCd4Ag: simulated PXRD pattern (Cu Kα, 1.54184 Å), based on a DFT-relaxed cell (PBE, Alexandria).

The 6 most intense peaks (15 to 90 degrees two-theta), by angle:
33.80 deg, I 100.0, (0 1 3)
36.01 deg, I 90.8, (1 1 0)
39.66 deg, I 63.8, (1 0 3)
42.25 deg, I 28.7, (0 2 0)
59.33 deg, I 36.9, (1 2 3)
70.94 deg, I 21.7, (2 1 3)

Cell and atoms:
```
data_NaCd4Ag
_chemical_formula_sum 'Na1 Cd4 Ag1'
_cell_length_a 3.070
_cell_length_b 4.278
_cell_length_c 10.141
_cell_angle_alpha 90.00
_cell_angle_beta 90.00
_cell_angle_gamma 90.00
_symmetry_space_group_name_H-M 'P m m m'
_symmetry_Int_Tables_number 47
loop_
_symmetry_equiv_pos_as_xyz
'x,y,z'
'-x,-y,-z'
'-x,-y,z'
'x,y,-z'
'x,-y,-z'
'-x,y,z'
'-x,y,-z'
'x,-y,z'
loop_
_atom_site_label
_atom_site_type_symbol
_atom_site_fract_x
_atom_site_fract_y
_atom_site_fract_z
_atom_site_occupancy
Na1 Na 0.000 0.000 0.000 1
Cd1 Cd 0.000 0.000 0.347 1
Cd2 Cd 0.500 0.500 0.186 1
Ag1 Ag 0.500 0.500 0.500 1
```